Entry 1:
Diffraction record for Cd3Cu2Pd8. The powder XRD pattern is simulated, not measured: it uses a structure optimized by DFT (GGA-PBE) and a wavelength of 1.5418 Å.
No peak broadening, texture or thermal motion is included.

Cell lengths 10.1402, 10.1402, 10.1402 Å; angles 29.93, 29.93, 29.93 degrees
Positions (direct):
Cd 0.0000 0.0000 0.0000
Cd 0.1825 0.1825 0.1825
Cd 0.8175 0.8175 0.8175
Cu 0.3602 0.3602 0.3602
Cu 0.6398 0.6398 0.6398
Pd 0.2340 0.7360 0.7360
Pd 0.2640 0.2640 0.7660
Pd 0.2640 0.7660 0.2640
Pd 0.2762 0.2762 0.2762
Pd 0.7238 0.7238 0.7238
Pd 0.7360 0.2340 0.7360
Pd 0.7360 0.7360 0.2340
Pd 0.7660 0.2640 0.2640

Principal peaks in the range 15° ≤ 2θ ≤ 90°, low angle first:
- 34.2 deg, I 45
- 39.1 deg, I 52
- 39.5 deg, I 98
- 40.2 deg, I 100
- 41.7 deg, I 59
- 64.9 deg, I 43

Entry 2:
Diffraction record for K3Tl3PdI8. The powder XRD pattern is simulated, not measured: it uses a structure optimized by DFT (GGA-PBE) and a wavelength of 1.5418 Å.
No peak broadening, texture or thermal motion is included.

Cell lengths 9.9543, 9.9543, 9.9543 Å; angles 59.96, 59.96, 59.96 degrees
Positions (direct):
K 0.0000 0.5000 0.5000
K 0.5000 0.0000 0.5000
K 0.5000 0.5000 0.0000
Tl 0.0000 0.0000 0.5000
Tl 0.0000 0.5000 0.0000
Tl 0.5000 0.0000 0.0000
Pd 0.0000 0.0000 0.0000
I 0.2055 0.7934 0.7934
I 0.2066 0.2066 0.7945
I 0.2066 0.7945 0.2066
I 0.2506 0.2506 0.2506
I 0.7494 0.7494 0.7494
I 0.7934 0.2055 0.7934
I 0.7934 0.7934 0.2055
I 0.7945 0.2066 0.2066

Principal peaks in the range 15° ≤ 2θ ≤ 90°, low angle first:
- 20.9 deg, I 16
- 25.3 deg, I 100
- 33.1 deg, I 28
- 36.1 deg, I 66
- 44.6 deg, I 20
- 58.7 deg, I 22

Entry 3:
Diffraction record for LiTl2PO4. The powder XRD pattern is simulated, not measured: it uses a structure optimized by DFT (GGA-PBE) and a wavelength of 1.5418 Å.
No peak broadening, texture or thermal motion is included.

Cell lengths 11.6562, 10.5157, 6.0810 Å; angles 84.75, 63.95, 31.30 degrees
Positions (direct):
Li 0.1250 0.1250 0.1250
Li 0.8750 0.8750 0.8750
Tl 0.0488 0.0488 0.7012
Tl 0.2988 0.2988 0.9512
Tl 0.7012 0.7012 0.0488
Tl 0.9512 0.9512 0.2988
P 0.3750 0.3750 0.3750
P 0.6250 0.6250 0.6250
O 0.0571 0.6083 0.5305
O 0.3041 0.5305 0.6083
O 0.3917 0.9429 0.6959
O 0.4695 0.6959 0.9429
O 0.5305 0.3041 0.0571
O 0.6083 0.0571 0.3041
O 0.6959 0.4695 0.3917
O 0.9429 0.3917 0.4695

Principal peaks in the range 15° ≤ 2θ ≤ 90°, low angle first:
- 18.1 deg, I 27
- 23.9 deg, I 100
- 30.7 deg, I 65
- 32.1 deg, I 23
- 33.1 deg, I 56
- 40.7 deg, I 25